(1)
For K3AuCl, a GGA-PBE-relaxed structure gives the simulated X-ray powder pattern in this record (a wavelength of 1.5418 Å).

Top 12 peaks for 2θ from 10° to 90°, sorted by position:
2θ = 13.27°, d 6.670, intensity 37, hkl 1 0 2; 2θ = 19.27°, d 4.607, intensity 39, hkl 2 0 0; 2θ = 20.71°, d 4.288, intensity 100, hkl 1 0 4; 2θ = 26.33°, d 3.385, intensity 57, hkl 1 1 3; 2θ = 28.01°, d 3.186, intensity 22, hkl 2 1 0; 2θ = 28.39°, d 3.143, intensity 53, hkl 2 1 1; 2θ = 29.38°, d 3.040, intensity 40, hkl 1 0 6; 2θ = 31.32°, d 2.856, intensity 44, hkl 2 1 3; 2θ = 32.29°, d 2.773, intensity 70, hkl 1 1 5; 2θ = 39.73°, d 2.269, intensity 23, hkl 1 1 7; 2θ = 40.36°, d 2.235, intensity 29, hkl 3 1 4; 2θ = 40.93°, d 2.205, intensity 22, hkl 0 2 0

Structural model:
abc: 9.2138 4.4099 19.3342
angles: 90.00 90.00 90.00
Space group Pnma (No. 62)
One atom of each set of equivalent atoms:
K: 0.0725 0.2500 0.2189
K: 0.0970 0.2500 0.6172
K: 0.1713 0.7500 0.9414
Au: 0.2149 0.2500 0.8015
Cl: 0.1750 0.2500 0.0628

(2)
For KAuCl4, a GGA-PBE-relaxed structure gives the simulated X-ray powder pattern in this record (a wavelength of 1.5418 Å).

Top 12 peaks for 2θ from 10° to 90°, sorted by position:
2θ = 14.36°, d 6.169, intensity 46, hkl 0 0 2; 2θ = 15.33°, d 5.781, intensity 100, hkl 0 1 1; 2θ = 19.50°, d 4.552, intensity 29, hkl 2 0 0; 2θ = 22.84°, d 3.893, intensity 26, hkl 2 0 -2; 2θ = 24.19°, d 3.679, intensity 53, hkl 2 1 -1; 2θ = 25.58°, d 3.482, intensity 58, hkl 2 1 1; 2θ = 33.74°, d 2.657, intensity 15, hkl 2 2 0; 2θ = 35.85°, d 2.505, intensity 20, hkl 2 2 -2; 2θ = 39.01°, d 2.309, intensity 12, hkl 0 1 5; 2θ = 41.83°, d 2.160, intensity 28, hkl 2 1 -5; 2θ = 47.16°, d 1.927, intensity 15, hkl 0 3 3; 2θ = 52.56°, d 1.741, intensity 14, hkl 0 2 6

Structural model:
abc: 9.1702 6.5439 12.4284
angles: 90.00 96.91 90.00
Space group P2_1/c (No. 14)
One atom of each set of equivalent atoms:
K: 0.2111 0.0550 0.1858
Au: 0.0000 0.0000 0.5000
Au: 0.5000 0.0000 0.5000
Cl: 0.0876 0.5508 0.1816
Cl: 0.1219 0.7065 0.4541
Cl: 0.3326 0.2489 0.4327
Cl: 0.4999 0.1362 0.6724

(3)
For K5Au2Cl2, a GGA-PBE-relaxed structure gives the simulated X-ray powder pattern in this record (a wavelength of 1.5418 Å).

Top 12 peaks for 2θ from 10° to 90°, sorted by position:
2θ = 13.62°, d 6.501, intensity 34, hkl 0 0 3; 2θ = 22.32°, d 3.983, intensity 45, hkl 1 0 0; 2θ = 24.14°, d 3.687, intensity 67, hkl 1 0 2; 2θ = 26.24°, d 3.396, intensity 100, hkl 1 0 3; 2θ = 28.95°, d 3.085, intensity 41, hkl 1 0 4; 2θ = 32.12°, d 2.787, intensity 66, hkl 0 1 5; 2θ = 39.17°, d 2.300, intensity 49, hkl 1 1 0; 2θ = 39.47°, d 2.283, intensity 48, hkl 0 1 7; 2θ = 46.55°, d 1.951, intensity 20, hkl 0 0 10; 2θ = 47.77°, d 1.904, intensity 22, hkl 0 2 3; 2θ = 51.53°, d 1.774, intensity 29, hkl 2 0 5; 2θ = 62.43°, d 1.488, intensity 30, hkl 1 1 10

Structural model:
abc: 4.5993 4.5993 19.5039
angles: 90.00 90.00 120.00
Space group P-3m1 (No. 164)
One atom of each set of equivalent atoms:
K: 0.0000 0.0000 0.0000
K: 0.3333 0.6667 0.1847
K: 0.3333 0.6667 0.6028
Au: 0.0000 0.0000 0.2946
Cl: 0.3333 0.6667 0.9077

(4)
For K2AuCl5, a GGA-PBE-relaxed structure gives the simulated X-ray powder pattern in this record (a wavelength of 1.5418 Å).

Top 12 peaks for 2θ from 10° to 90°, sorted by position:
2θ = 14.94°, d 5.931, intensity 95, hkl 0 0 1; 2θ = 16.15°, d 5.489, intensity 100, hkl 1 0 -1; 2θ = 16.86°, d 5.259, intensity 47, hkl 0 1 -1; 2θ = 20.04°, d 4.431, intensity 40, hkl -1 1 1; 2θ = 23.93°, d 3.719, intensity 24, hkl 1 1 -1; 2θ = 24.81°, d 3.589, intensity 34, hkl 0 1 1; 2θ = 26.23°, d 3.397, intensity 24, hkl 1 0 -2; 2θ = 26.34°, d 3.383, intensity 23, hkl 1 -2 0; 2θ = 27.71°, d 3.220, intensity 32, hkl -2 1 1; 2θ = 28.31°, d 3.153, intensity 23, hkl 0 2 -1; 2θ = 31.70°, d 2.823, intensity 38, hkl -1 1 2; 2θ = 34.10°, d 2.630, intensity 63, hkl 2 0 0

Structural model:
abc: 6.5264 6.8845 6.9136
angles: 99.48 112.64 112.45
Space group P1 (No. 1)
One atom of each set of equivalent atoms:
K: 0.0000 0.0000 0.0000
K: 0.9997 0.4425 0.5569
Au: 0.5331 0.7539 0.3103
Cl: 0.0884 0.5350 0.0894
Cl: 0.5277 0.5142 0.5169
Cl: 0.5319 0.9651 0.0751
Cl: 0.5926 0.1161 0.6734
Cl: 0.9835 0.9349 0.4936

(5)
For K3Au2Cl, a GGA-PBE-relaxed structure gives the simulated X-ray powder pattern in this record (a wavelength of 1.5418 Å).

Top 12 peaks for 2θ from 10° to 90°, sorted by position:
2θ = 18.75°, d 4.733, intensity 30, hkl 1 0 1; 2θ = 22.83°, d 3.895, intensity 80, hkl 1 0 3; 2θ = 25.82°, d 3.451, intensity 100, hkl 1 1 0; 2θ = 27.60°, d 3.232, intensity 42, hkl 0 0 6; 2θ = 29.41°, d 3.037, intensity 19, hkl 1 0 5; 2θ = 36.83°, d 2.440, intensity 39, hkl 2 0 0; 2θ = 38.15°, d 2.359, intensity 69, hkl 1 1 6; 2θ = 43.78°, d 2.068, intensity 31, hkl 2 1 3; 2θ = 46.64°, d 1.948, intensity 39, hkl 2 0 6; 2θ = 59.94°, d 1.543, intensity 18, hkl 3 1 0; 2θ = 60.84°, d 1.522, intensity 21, hkl 2 2 6; 2θ = 67.22°, d 1.393, intensity 25, hkl 3 1 6

Structural model:
abc: 4.8802 4.8802 19.3947
angles: 90.00 90.00 90.00
Space group I4/mmm (No. 139)
One atom of each set of equivalent atoms:
K: 0.0000 0.0000 0.0000
K: 0.0000 0.0000 0.3403
Au: 0.0000 0.0000 0.1693
Cl: 0.0000 0.0000 0.5000

(6)
For K6Au2Cl, a GGA-PBE-relaxed structure gives the simulated X-ray powder pattern in this record (a wavelength of 1.5418 Å).

Top 12 peaks for 2θ from 10° to 90°, sorted by position:
2θ = 11.28°, d 7.841, intensity 66, hkl 0 0 3; 2θ = 13.15°, d 6.731, intensity 60, hkl 1 0 1; 2θ = 14.69°, d 6.031, intensity 37, hkl 0 1 2; 2θ = 21.92°, d 4.055, intensity 37, hkl 1 1 0; 2θ = 22.75°, d 3.909, intensity 47, hkl 0 1 5; 2θ = 24.72°, d 3.602, intensity 95, hkl 1 1 3; 2θ = 31.76°, d 2.818, intensity 100, hkl 1 1 6; 2θ = 38.45°, d 2.341, intensity 40, hkl 3 0 0; 2θ = 38.95°, d 2.312, intensity 27, hkl 3 -2 5; 2θ = 40.19°, d 2.244, intensity 21, hkl 3 0 3; 2θ = 50.70°, d 1.801, intensity 29, hkl 4 -2 6; 2θ = 61.68°, d 1.504, intensity 21, hkl 1 4 3

Structural model:
abc: 8.1109 8.1109 23.5239
angles: 90.00 90.00 120.00
Space group R-3 (No. 148, hexagonal axes)
One atom of each set of equivalent atoms:
K: 0.0155 0.3157 0.0840
Au: 0.0000 0.0000 0.1818
Cl: 0.0000 0.0000 0.0000

Number 1 is which compound?
K3AuCl